# K2MnO4
Computed X-ray diffraction stick pattern, Cu Kα, 1.54184 Å. Input: a structure optimized by DFT (PBE+U).
Neutral-atom scattering factors, no anomalous dispersion.

Structural model:
Cell: 6.0809 7.7729 11.8289 Å, 90.00 117.68 90.00°
Space group P2_1/c (No. 14)
Unique sites:
K1 0.0243 0.0057 0.2990 [4 per cell]
K2 0.3124 0.1692 0.0788 [4 per cell]
Mn1 0.3359 0.7282 0.0792 [4 per cell]
O1 0.1775 0.6732 0.6435 [4 per cell]
O2 0.2323 0.6952 0.4313 [4 per cell]
O3 0.2912 0.5176 0.0748 [4 per cell]
O4 0.3616 0.2312 0.8348 [4 per cell]

Largest 12 diffraction maxima, sorted by position, 10° ≤ 2θ ≤ 90°:
2θ 20.06, rel. 251, (1 1 0)
2θ 20.45, rel. 295, (0 1 2)
2θ 20.75, rel. 328, (1 1 -2)
2θ 22.88, rel. 278, (0 2 0)
2θ 28.32, rel. 561, (1 2 0)
2θ 28.60, rel. 364, (0 2 2)
2θ 28.79, rel. 1000, (1 0 2)
2θ 29.42, rel. 747, (2 0 -2)
2θ 30.23, rel. 562, (1 0 -4)
2θ 35.70, rel. 229, (0 3 1)
2θ 38.96, rel. 249, (1 3 -2)
2θ 40.77, rel. 242, (2 2 0)